Entry 1:
For Pr14NdCd, a crystal structure in Alexandria, relaxed with GGA-PBE gives the calculated X-ray powder pattern in this record (a wavelength of 1.5418 Å).

Peak list (6 most intense, 10° ≤ 2θ ≤ 90°, low angle first)
two_theta, d [Å], I/Imax
29.83, 2.996, 100
34.40, 2.607, 17
34.66, 2.588, 34
49.64, 1.837, 24
58.82, 1.570, 14
59.16, 1.562, 28

abc: 10.4285 7.3196 7.3196
angles: 90.00 90.00 90.00
Sites, in units of the cell vectors:
Pr 0.0000 0.0000 0.0000
Pr 0.0000 0.0000 0.5000
Pr 0.0000 0.5000 0.0000
Pr 0.0000 0.4998 0.4998
Pr 0.2546 0.2471 0.2471
Pr 0.2546 0.2468 0.7530
Pr 0.2546 0.7530 0.2468
Pr 0.2547 0.7529 0.7529
Pr 0.5000 0.9999 0.4995
Pr 0.5000 0.4995 0.9999
Pr 0.7454 0.2471 0.2471
Pr 0.7454 0.2468 0.7530
Pr 0.7454 0.7530 0.2468
Pr 0.7453 0.7529 0.7529
Nd 0.5000 0.5000 0.5000
Cd 0.5000 0.9993 0.9993

Entry 2:
For Pr3NdCd8, a crystal structure in Alexandria, relaxed with GGA-PBE gives the calculated X-ray powder pattern in this record (a wavelength of 1.5418 Å).

Peak list (6 most intense, 10° ≤ 2θ ≤ 90°, low angle first)
two_theta, d [Å], I/Imax
29.60, 3.018, 23
29.71, 3.007, 22
34.89, 2.571, 100
35.00, 2.564, 34
36.48, 2.463, 34
56.04, 1.641, 34

abc: 10.4057 10.4057 10.4057
angles: 33.72 33.72 33.72
Sites, in units of the cell vectors:
Pr 0.0000 0.0000 0.0000
Pr 0.1244 0.1244 0.1244
Pr 0.6242 0.6242 0.6242
Nd 0.4999 0.4999 0.4999
Cd 0.0621 0.0621 0.5618
Cd 0.0621 0.5618 0.0621
Cd 0.0626 0.5622 0.5622
Cd 0.3122 0.3122 0.3122
Cd 0.5618 0.0621 0.0621
Cd 0.5622 0.0626 0.5622
Cd 0.5622 0.5622 0.0626
Cd 0.8122 0.8122 0.8122

Entry 3:
For Pr8Nd3Cd, a crystal structure in Alexandria, relaxed with GGA-PBE gives the calculated X-ray powder pattern in this record (a wavelength of 1.5418 Å).

Peak list (6 most intense, 10° ≤ 2θ ≤ 90°, low angle first)
two_theta, d [Å], I/Imax
29.32, 3.047, 14
29.67, 3.011, 28
30.77, 2.906, 100
30.94, 2.890, 72
43.26, 2.092, 20
54.75, 1.677, 29

abc: 9.0403 9.0403 10.0743
angles: 120.77 120.77 37.52
Sites, in units of the cell vectors:
Pr 0.0000 0.0000 0.0000
Pr 0.1562 0.1562 0.8398
Pr 0.3519 0.3519 0.7138
Pr 0.5112 0.5112 0.5592
Pr 0.6158 0.6158 0.0059
Pr 0.7074 0.7074 0.4344
Pr 0.7678 0.7678 0.8480
Pr 0.8643 0.8643 0.2753
Nd 0.0959 0.0959 0.4260
Nd 0.2479 0.2479 0.2688
Nd 0.4320 0.4320 0.1377
Cd 0.9318 0.9318 0.6373

Entry 4:
For PrNdCd17, a crystal structure in Alexandria, relaxed with GGA-PBE gives the calculated X-ray powder pattern in this record (a wavelength of 1.5418 Å).

Peak list (6 most intense, 10° ≤ 2θ ≤ 90°, low angle first)
two_theta, d [Å], I/Imax
30.63, 2.918, 34
35.52, 2.527, 58
35.64, 2.519, 100
35.99, 2.496, 34
36.35, 2.472, 31
39.99, 2.255, 61

abc: 7.6797 7.6797 7.6797
angles: 82.32 82.32 82.32
Sites, in units of the cell vectors:
Pr 0.0000 0.0000 0.0000
Nd 0.3379 0.3379 0.3379
Cd 0.0300 0.0300 0.4999
Cd 0.0300 0.4999 0.0300
Cd 0.1645 0.6720 0.6720
Cd 0.3116 0.3116 0.8236
Cd 0.3116 0.8236 0.3116
Cd 0.3688 0.6679 0.9688
Cd 0.3688 0.9688 0.6679
Cd 0.4999 0.0300 0.0300
Cd 0.5666 0.5666 0.5666
Cd 0.6679 0.3688 0.9688
Cd 0.6679 0.9688 0.3688
Cd 0.6720 0.1645 0.6720
Cd 0.6720 0.6720 0.1645
Cd 0.7683 0.7683 0.7683
Cd 0.8236 0.3116 0.3116
Cd 0.9688 0.3688 0.6679
Cd 0.9688 0.6679 0.3688

Entry 5:
For PrNd4Cd3, a crystal structure in Alexandria, relaxed with GGA-PBE gives the calculated X-ray powder pattern in this record (a wavelength of 1.5418 Å).

Peak list (6 most intense, 10° ≤ 2θ ≤ 90°, low angle first)
two_theta, d [Å], I/Imax
31.94, 2.802, 94
32.55, 2.751, 100
46.25, 1.963, 33
57.70, 1.598, 34
58.09, 1.588, 19
77.28, 1.235, 14

abc: 9.7700 9.7700 9.7700
angles: 32.70 32.70 32.70
Sites, in units of the cell vectors:
Pr 0.0000 0.0000 0.0000
Nd 0.1302 0.1302 0.1302
Nd 0.3842 0.3842 0.3842
Nd 0.6158 0.6158 0.6158
Nd 0.8698 0.8698 0.8698
Cd 0.2574 0.2574 0.2574
Cd 0.5000 0.5000 0.5000
Cd 0.7426 0.7426 0.7426

Entry 6:
For Pr6NdCd2, a crystal structure in Alexandria, relaxed with GGA-PBE gives the calculated X-ray powder pattern in this record (a wavelength of 1.5418 Å).

Peak list (6 most intense, 10° ≤ 2θ ≤ 90°, low angle first)
two_theta, d [Å], I/Imax
30.56, 2.925, 49
31.61, 2.831, 100
43.77, 2.068, 14
54.93, 1.672, 15
55.04, 1.668, 12
56.90, 1.618, 10

abc: 6.8312 6.8312 12.4012
angles: 107.77 107.77 33.02
Sites, in units of the cell vectors:
Pr 0.0204 0.0204 0.3377
Pr 0.3115 0.3115 0.4121
Pr 0.3164 0.3164 0.1237
Pr 0.6836 0.6836 0.8763
Pr 0.6885 0.6885 0.5879
Pr 0.9796 0.9796 0.6623
Nd 0.0000 0.0000 0.0000
Cd 0.3540 0.3540 0.7963
Cd 0.6460 0.6460 0.2037

Entry 7:
For TbPrNdCd, a crystal structure in Alexandria, relaxed with GGA-PBE gives the calculated X-ray powder pattern in this record (a wavelength of 1.5418 Å).

Peak list (6 most intense, 10° ≤ 2θ ≤ 90°, low angle first)
two_theta, d [Å], I/Imax
31.13, 2.873, 100
34.26, 2.617, 42
39.55, 2.279, 10
49.23, 1.851, 15
53.30, 1.719, 17
59.40, 1.556, 31

abc: 3.7017 3.7017 9.1149
angles: 90.00 90.00 90.00
Sites, in units of the cell vectors:
Tb 0.0000 0.0000 0.0000
Pr 0.5000 0.5000 0.7265
Nd 0.0000 0.0000 0.4429
Cd 0.5000 0.5000 0.2112

Entry 8:
For Nd4CdPt2, a crystal structure in Alexandria, relaxed with GGA-PBE gives the calculated X-ray powder pattern in this record (a wavelength of 1.5418 Å).

Peak list (6 most intense, 10° ≤ 2θ ≤ 90°, low angle first)
two_theta, d [Å], I/Imax
27.82, 3.207, 68
30.95, 2.890, 58
31.20, 2.867, 91
31.40, 2.849, 62
31.68, 2.824, 58
34.35, 2.611, 100

abc: 8.9869 8.9869 7.1077
angles: 107.58 107.58 120.84
Sites, in units of the cell vectors:
Nd 0.0254 0.9746 0.5000
Nd 0.0772 0.4320 0.8406
Nd 0.3141 0.8018 0.6537
Nd 0.4320 0.0772 0.3406
Nd 0.4908 0.5633 0.3709
Nd 0.5633 0.4908 0.8709
Nd 0.8018 0.3141 0.1537
Nd 0.9746 0.0254 0.0000
Cd 0.6192 0.8849 0.1749
Cd 0.8849 0.6192 0.6749
Pt 0.0237 0.6945 0.1567
Pt 0.1718 0.3613 0.4736
Pt 0.3613 0.1718 0.9736
Pt 0.6945 0.0237 0.6567

> What is the formula in the first record?

Pr14NdCd